No. 1
For NbFeCo2, a crystal structure in OQMD, relaxed with GGA-PBE gives the simulated powder diffractogram in this record (Cu Ka).
Intensities are scaled so that the largest is 100.

Most intense lines, 2θ from 15° to 90°, in order of rising 2θ:
two_theta	intensity
26.42	3.9
30.60	2.3
43.82	100.0
51.90	1.9
63.71	15.2
80.54	29.9

Structure:
```
NbFeCo2
1.0
0.0000 2.9214 2.9214
2.9214 0.0000 2.9214
2.9214 2.9214 0.0000
Nb Fe Co
1 1 2
Direct
0.0000 0.0000 0.0000
0.2500 0.2500 0.2500
0.5000 0.5000 0.5000
0.7500 0.7500 0.7500
```

---

No. 2
For NdFeCoP2, a crystal structure in OQMD, relaxed with GGA-PBE gives the simulated powder diffractogram in this record (Cu Ka).
Intensities are scaled so that the largest is 100.

Most intense lines, 2θ from 15° to 90°, in order of rising 2θ:
two_theta	intensity
25.09	49.3
33.66	31.2
34.73	78.1
37.78	100.0
48.35	40.5
62.93	30.0

Structure:
```
NdFeCoP2
1.0
-1.8826 1.8826 5.3253
1.8826 -1.8826 5.3253
1.8826 1.8826 -5.3253
Nd Fe Co P
1 1 1 2
Direct
0.0000 0.0000 0.0000
0.2500 0.7500 0.5000
0.7500 0.2500 0.5000
0.3582 0.3582 0.0000
0.6418 0.6418 0.0000
```

---

No. 3
For Nd2FeCoSi2, a crystal structure in OQMD, relaxed with GGA-PBE gives the simulated powder diffractogram in this record (Cu Ka).
Intensities are scaled so that the largest is 100.

Most intense lines, 2θ from 15° to 90°, in order of rising 2θ:
two_theta	intensity
25.63	100.0
34.00	77.2
34.16	48.7
40.99	74.3
45.30	52.2
57.83	33.1

Structure:
```
Nd2FeCoSi2
1.0
4.0035 0.0000 0.0000
0.0000 4.0035 0.0000
0.0000 0.0000 7.0082
Nd Fe Co Si
2 1 1 2
Direct
0.0000 0.5000 0.1819
0.5000 0.0000 0.8181
0.5000 0.5000 0.5000
0.0000 0.0000 0.5000
0.0000 0.5000 0.6686
0.5000 0.0000 0.3314
```

---

No. 4
For NdFeCoSi2, a crystal structure in OQMD, relaxed with GGA-PBE gives the simulated powder diffractogram in this record (Cu Ka).
Intensities are scaled so that the largest is 100.

Most intense lines, 2θ from 15° to 90°, in order of rising 2θ:
two_theta	intensity
24.22	49.7
35.64	61.3
36.95	100.0
45.77	41.8
59.32	27.6
66.30	21.2

Structure:
```
NdFeCoSi2
1.0
-1.9823 1.9823 4.8933
1.9823 -1.9823 4.8933
1.9823 1.9823 -4.8933
Nd Fe Co Si
1 1 1 2
Direct
0.0000 0.0000 0.0000
0.2500 0.7500 0.5000
0.7500 0.2500 0.5000
0.3641 0.3641 0.0000
0.6359 0.6359 0.0000
```